Structure and computed powder diffraction line list of Ca6CdAu (the GGA-PBE geometry in Alexandria; λ = 1.5418 Å (Cu Kα)).
Lines closer than 0.1° are merged.

The 10 most intense peaks (15 to 90 degrees two-theta), by angle:
(hkl), 2θ/deg, intensity
0 0 4, 18.77, 21
1 1 0, 23.49, 17
1 1 2, 25.34, 15
1 1 4, 30.24, 100
2 0 0, 33.46, 45
2 0 2, 34.82, 21
1 1 6, 37.11, 31
1 1 8, 45.22, 18
2 2 0, 48.07, 19
3 1 4, 57.83, 30

Cell and atoms:
Lattice parameters (Å, degrees): 5.355 5.355 18.909 90.00 90.00 90.00
Positions (direct):
1 Ca 0.000 0.000 0.248
2 Ca 0.000 0.000 0.752
3 Ca 0.000 0.500 0.095
4 Ca 0.000 0.500 0.405
5 Ca 0.000 0.500 0.595
6 Ca 0.000 0.500 0.905
7 Ca 0.500 0.000 0.095
8 Ca 0.500 0.000 0.405
9 Ca 0.500 0.000 0.595
10 Ca 0.500 0.000 0.905
11 Ca 0.500 0.500 0.252
12 Ca 0.500 0.500 0.748
13 Cd 0.000 0.000 0.000
14 Cd 0.500 0.500 0.500
15 Au 0.000 0.000 0.500
16 Au 0.500 0.500 0.000